Theoretical PXRD pattern
Compound: AcNd7
Radiation: a wavelength of 1.5418 Å
Structure: a cell relaxed with GGA-PBE
No peak broadening, texture or thermal motion is included.

Crystal structure
```
AcNd7
1.0
0.000 5.259 5.259
5.259 0.000 5.259
5.259 5.259 0.000
Ac Nd
1 7
Cartesian
0.000 0.000 0.000
2.629 2.629 0.000
2.629 0.000 2.629
5.259 2.629 2.629
0.000 2.629 2.629
2.629 5.259 2.629
2.629 2.629 5.259
5.259 5.259 5.259
```

Top 10 peaks for 10 to 80 degrees two-theta, low angle first:
| d/Å | Position (°2θ) | Rel. int. |
| --- | --- | --- |
| 6.072 | 14.59 | 2 |
| 5.259 | 16.86 | 1 |
| 3.171 | 28.14 | 1 |
| 3.036 | 29.42 | 100 |
| 2.629 | 34.10 | 51 |
| 1.859 | 49.00 | 37 |
| 1.586 | 58.19 | 44 |
| 1.518 | 61.04 | 13 |
| 1.315 | 71.81 | 6 |
| 1.206 | 79.44 | 18 |